Na3W: theoretical X-ray powder pattern (λ = 1.5418 Å (Cu Kα)), based on DFT lattice parameters and positions (PBE).

The 6 most intense peaks (2θ = 15–90°), by angle:
d_spacing	2θ/deg	intensity	hkl
4.813	18.43	31	0 0 2
4.358	20.38	100	1 0 1
2.808	31.88	89	1 1 2
2.682	33.40	30	1 0 3
2.444	36.77	30	2 0 0
2.132	42.40	31	2 1 1

Structure:
Lattice parameters (Å, degrees): 4.8881 4.8881 9.6264 90.00 90.00 90.00
Fractional coordinates of all 8 atoms:
Na 0.0000 0.0000 0.0000
Na 0.0000 0.5000 0.2500
Na 0.0000 0.5000 0.7500
Na 0.5000 0.0000 0.2500
Na 0.5000 0.0000 0.7500
Na 0.5000 0.5000 0.5000
W 0.0000 0.0000 0.5000
W 0.5000 0.5000 0.0000